(1)
Starting from a cell relaxed with GGA-PBE, the powder diffraction line list of TbSi2RuRh was simulated for Cu Kα (λ = 1.5418 Å).
Lines closer than 0.1° are merged.

Top 10 peaks for 10 to 90 degrees two-theta, most intense first:
two_theta  d (Å)  I (rel.)
35.82  2.507  100
43.86  2.064  38
35.06  2.560  32
23.38  3.804  30
75.34  1.261  22
65.55  1.424  17
58.50  1.578  17
36.73  2.447  17
57.34  1.607  15
63.76  1.460  12

Crystal structure
```
data_TbSi2RuRh
_symmetry_space_group_name_H-M 'I -4 m 2'
_symmetry_Int_Tables_number 119
_symmetry_space_group_name_Hall 'I -4 -2'
_cell_length_a 4.129
_cell_length_b 4.129
_cell_length_c 9.788
_cell_angle_alpha 90.00
_cell_angle_beta 90.00
_cell_angle_gamma 90.00
loop_
_atom_site_label
_atom_site_type_symbol
_atom_site_fract_x
_atom_site_fract_y
_atom_site_fract_z
_atom_site_occupancy
Tb1 Tb 0.000 0.000 0.000 1
Si1 Si 0.000 0.000 0.373 1
Ru1 Ru 0.000 0.500 0.250 1
Rh1 Rh 0.000 0.500 0.750 1
```

=====

(2)
Starting from a cell relaxed with GGA-PBE, the powder diffraction line list of Sn2RuRh was simulated for Cu Kα (λ = 1.5418 Å).
Lines closer than 0.1° are merged.

Top 9 peaks for 10 to 90 degrees two-theta, most intense first:
two_theta  d (Å)  I (rel.)
38.62  2.331  100
40.43  2.231  44
72.32  1.307  32
68.66  1.367  19
58.50  1.578  15
82.82  1.166  11
52.94  1.730  10
87.43  1.116  5
28.28  3.155  1

Crystal structure
```
data_Sn2RuRh
_symmetry_space_group_name_H-M 'P 4/m m m'
_symmetry_Int_Tables_number 123
_symmetry_space_group_name_Hall '-P 4 2'
_cell_length_a 4.462
_cell_length_b 4.462
_cell_length_c 3.459
_cell_angle_alpha 90.00
_cell_angle_beta 90.00
_cell_angle_gamma 90.00
loop_
_atom_site_label
_atom_site_type_symbol
_atom_site_fract_x
_atom_site_fract_y
_atom_site_fract_z
_atom_site_occupancy
Sn1 Sn 0.000 0.500 0.000 1
Ru1 Ru 0.000 0.000 0.500 1
Rh1 Rh 0.500 0.500 0.500 1
```

=====

(3)
Starting from a cell relaxed with GGA-PBE, the powder diffraction line list of Tm4SnRuRh2 was simulated for Cu Kα (λ = 1.5418 Å).
Lines closer than 0.1° are merged.

Top 10 peaks for 10 to 90 degrees two-theta, most intense first:
two_theta  d (Å)  I (rel.)
36.96  2.432  100
36.34  2.472  95
66.19  1.412  33
52.80  1.734  33
66.60  1.404  18
89.90  1.091  15
64.98  1.435  13
88.79  1.102  12
78.68  1.216  11
25.69  3.468  10

Crystal structure
```
data_Tm4SnRuRh2
_symmetry_space_group_name_H-M 'R -3 m'
_symmetry_Int_Tables_number 166
_symmetry_space_group_name_Hall '-R 3 2"'
_cell_length_a 4.8643
_cell_length_b 4.8643
_cell_length_c 24.4254
_cell_angle_alpha 90.00
_cell_angle_beta 90.00
_cell_angle_gamma 120.00
loop_
_atom_site_label
_atom_site_type_symbol
_atom_site_fract_x
_atom_site_fract_y
_atom_site_fract_z
_atom_site_occupancy
Tm1 Tm 0.0000 0.0000 0.1157 1
Tm2 Tm 0.0000 0.0000 0.3695 1
Sn1 Sn 0.0000 0.0000 0.5000 1
Ru1 Ru 0.0000 0.0000 0.0000 1
Rh1 Rh 0.0000 0.0000 0.2523 1
```

=====

(4)
Starting from a cell relaxed with GGA-PBE, the powder diffraction line list of SrRuRh was simulated for Cu Kα (λ = 1.5418 Å).
Lines closer than 0.1° are merged.

Top 10 peaks for 10 to 90 degrees two-theta, most intense first:
two_theta  d (Å)  I (rel.)
38.24  2.353  100
33.87  2.646  80
39.16  2.300  54
16.25  5.455  48
51.27  1.782  42
32.84  2.728  38
47.11  1.929  27
62.88  1.478  26
64.48  1.445  21
86.76  1.122  19

Crystal structure
```
data_SrRuRh
_symmetry_space_group_name_H-M 'I m m 2'
_symmetry_Int_Tables_number 44
_cell_length_a 2.970
_cell_length_b 3.858
_cell_length_c 10.910
_cell_angle_alpha 90.00
_cell_angle_beta 90.00
_cell_angle_gamma 90.00
loop_
_symmetry_equiv_pos_as_xyz
'x,y,z'
'-x,-y,z'
'-x,y,z'
'x,-y,z'
'x+1/2,y+1/2,z+1/2'
'-x+1/2,-y+1/2,z+1/2'
'-x+1/2,y+1/2,z+1/2'
'x+1/2,-y+1/2,z+1/2'
loop_
_atom_site_label
_atom_site_type_symbol
_atom_site_fract_x
_atom_site_fract_y
_atom_site_fract_z
_atom_site_occupancy
Sr1 Sr 0.000 0.000 0.000 1
Ru1 Ru 0.000 0.000 0.286 1
Rh1 Rh 0.000 0.000 0.711 1
```

=====

(5)
Starting from a cell relaxed with GGA-PBE, the powder diffraction line list of SrRuRh was simulated for Cu Kα (λ = 1.5418 Å).
Lines closer than 0.1° are merged.

Top 10 peaks for 10 to 90 degrees two-theta, most intense first:
two_theta  d (Å)  I (rel.)
30.94  2.890  100
43.35  2.087  46
58.56  1.576  37
18.45  4.810  24
37.39  2.405  24
54.21  1.692  20
71.82  1.314  17
63.47  1.466  12
47.49  1.915  12
79.55  1.205  8

Crystal structure
```
data_SrRuRh
_symmetry_space_group_name_H-M 'P -6 m 2'
_symmetry_Int_Tables_number 187
_symmetry_space_group_name_Hall 'P -6 2'
_cell_length_a 4.1744
_cell_length_b 4.1744
_cell_length_c 4.8101
_cell_angle_alpha 90.00
_cell_angle_beta 90.00
_cell_angle_gamma 120.00
loop_
_atom_site_label
_atom_site_type_symbol
_atom_site_fract_x
_atom_site_fract_y
_atom_site_fract_z
_atom_site_occupancy
Sr1 Sr 0.0000 0.0000 0.0000 1
Ru1 Ru 0.3333 0.6667 0.5000 1
Rh1 Rh 0.6667 0.3333 0.5000 1
```

=====

(6)
Starting from a cell relaxed with GGA-PBE, the powder diffraction line list of TaRuRh6 was simulated for Cu Kα (λ = 1.5418 Å).
Lines closer than 0.1° are merged.

Top 10 peaks for 10 to 90 degrees two-theta, most intense first:
two_theta  d (Å)  I (rel.)
43.45  2.083  100
30.63  2.919  68
40.89  2.207  42
53.38  1.716  30
55.48  1.656  25
40.02  2.253  24
51.58  1.772  23
28.30  3.154  21
25.13  3.544  19
34.85  2.575  17

Crystal structure
```
data_TaRuRh6
_symmetry_space_group_name_H-M 'R -3 m'
_symmetry_Int_Tables_number 166
_symmetry_space_group_name_Hall '-R 3 2"'
_cell_length_a 7.0872
_cell_length_b 7.0872
_cell_length_c 9.4610
_cell_angle_alpha 90.00
_cell_angle_beta 90.00
_cell_angle_gamma 120.00
loop_
_atom_site_label
_atom_site_type_symbol
_atom_site_fract_x
_atom_site_fract_y
_atom_site_fract_z
_atom_site_occupancy
Ta1 Ta 0.0000 0.0000 0.0000 1
Ru1 Ru 0.0000 0.0000 0.5000 1
Rh1 Rh 0.0790 0.5395 0.8753 1
```